Starting from the GGA-PBE geometry in the Materials Project, the powder diffraction line list of RhC8N4Cl7 was simulated for Cu Kα, 1.54184 Å.
Intensities are scaled so that the largest is 100.

Cell and atoms:
a = 8.967 Å, b = 13.711 Å, c = 8.242 Å
α = 90.00°, β = 90.00°, γ = 90.00°
Element x y z (fractional)
Rh  0.000  0.000  0.123
Rh  0.500  0.500  0.877
C  0.052  0.337  0.842
C  0.204  0.357  0.095
C  0.209  0.547  0.430
C  0.245  0.170  0.353
C  0.255  0.670  0.647
C  0.291  0.047  0.570
C  0.296  0.857  0.905
C  0.448  0.837  0.158
C  0.552  0.163  0.158
C  0.704  0.143  0.905
C  0.709  0.953  0.570
C  0.745  0.330  0.647
C  0.755  0.830  0.353
C  0.791  0.453  0.430
C  0.796  0.643  0.095
C  0.948  0.663  0.842
N  0.135  0.356  0.953
N  0.224  0.601  0.551
N  0.276  0.101  0.449
N  0.365  0.856  0.047
N  0.635  0.144  0.047
N  0.724  0.899  0.449
N  0.776  0.399  0.551
N  0.865  0.644  0.953
Cl  0.000  0.500  0.390
Cl  0.102  0.898  0.317
Cl  0.120  0.907  0.906
Cl  0.209  0.105  0.125
Cl  0.291  0.605  0.875
Cl  0.380  0.407  0.094
Cl  0.398  0.398  0.683
Cl  0.500  0.000  0.610
Cl  0.602  0.602  0.683
Cl  0.620  0.593  0.094
Cl  0.709  0.395  0.875
Cl  0.791  0.895  0.125
Cl  0.880  0.093  0.906
Cl  0.898  0.102  0.317

Largest 10 diffraction maxima, low angle first, 2θ = 15–90°:
16.0°, I = 100
19.5°, I = 69
24.4°, I = 43
30.9°, I = 24
32.3°, I = 27
32.7°, I = 27
32.9°, I = 22
35.5°, I = 26
44.5°, I = 26
46.6°, I = 24


Starting from the GGA-PBE geometry in the Materials Project, the powder diffraction line list of TiMo2W was simulated for Cu Kα, 1.54184 Å.
Intensities are scaled so that the largest is 100.

Cell and atoms:
a = 4.480 Å, b = 4.480 Å, c = 4.480 Å
α = 60.00°, β = 60.00°, γ = 60.00°
Element x y z (fractional)
Ti  0.000  0.000  0.000
Mo  0.250  0.250  0.250
Mo  0.750  0.750  0.750
W  0.500  0.500  0.500

Largest 9 diffraction maxima, low angle first, 2θ = 15–90°:
24.3°, I = 24
28.2°, I = 1
40.3°, I = 100
47.6°, I = 13
58.3°, I = 17
64.1°, I = 6
73.2°, I = 33
78.4°, I = 4
87.0°, I = 11


Starting from the GGA-PBE geometry in the Materials Project, the powder diffraction line list of LiTbCu2P2 was simulated for Cu Kα, 1.54184 Å.
Intensities are scaled so that the largest is 100.

Cell and atoms:
a = 3.989 Å, b = 3.989 Å, c = 6.590 Å
α = 90.00°, β = 90.00°, γ = 120.00°
Element x y z (fractional)
Li  0.000  0.000  0.000
Tb  0.000  0.000  0.500
Cu  0.333  0.667  0.168
Cu  0.667  0.333  0.832
P  0.333  0.667  0.762
P  0.667  0.333  0.238

Largest 10 diffraction maxima, low angle first, 2θ = 15–90°:
29.2°, I = 100
37.7°, I = 80
41.1°, I = 16
45.5°, I = 50
55.0°, I = 17
60.5°, I = 20
62.5°, I = 11
62.9°, I = 26
74.0°, I = 14
78.9°, I = 18


Starting from the GGA-PBE geometry in the Materials Project, the powder diffraction line list of Te3MoWS was simulated for Cu Kα, 1.54184 Å.
Intensities are scaled so that the largest is 100.

Cell and atoms:
a = 3.451 Å, b = 3.451 Å, c = 39.333 Å
α = 90.00°, β = 90.00°, γ = 120.00°
Element x y z (fractional)
Te  0.000  0.000  0.000
Te  0.000  0.000  0.094
Te  0.000  0.000  0.375
Te  0.000  0.000  0.470
Te  0.333  0.667  0.812
Te  0.333  0.667  0.906
Mo  0.000  0.000  0.859
Mo  0.333  0.667  0.047
W  0.000  0.000  0.235
W  0.333  0.667  0.423
S  0.333  0.667  0.197
S  0.333  0.667  0.273

Largest 10 diffraction maxima, low angle first, 2θ = 15–90°:
29.9°, I = 55
32.0°, I = 13
35.1°, I = 100
37.8°, I = 18
42.5°, I = 56
44.2°, I = 17
53.1°, I = 34
65.3°, I = 16
74.8°, I = 17
88.9°, I = 15